[1]
Diffraction record for NaLaNiH6. The powder diffraction line list is theoretical, not measured: it uses DFT lattice parameters and positions (GGA-PBE) and CuKα.
Peak positions follow from Bragg's law for the DFT cell and can differ from measured ones.

Crystal structure
```
data_NaLaNiH6
_cell_length_a 4.880
_cell_length_b 4.880
_cell_length_c 4.257
_cell_angle_alpha 90.00
_cell_angle_beta 90.00
_cell_angle_gamma 120.00
_space_group_name_H-M_alt 'P 1'
_space_group_IT_number 1
loop_
_space_group_symop_operation_xyz
'x,y,z'
loop_
_atom_site_label
_atom_site_type_symbol
_atom_site_fract_x
_atom_site_fract_y
_atom_site_fract_z
Na1 Na 0.000 0.000 0.000
La1 La 0.667 0.333 0.515
Ni1 Ni 0.333 0.667 0.212
H1 H 0.178 0.357 0.438
H2 H 0.178 0.822 0.438
H3 H 0.501 0.002 0.015
H4 H 0.501 0.499 0.015
H5 H 0.643 0.822 0.438
H6 H 0.998 0.499 0.015
```

Largest 10 diffraction maxima, by angle, 10 to 90 degrees two-theta:
Position (°2θ), I_rel
20.87, 17
21.02, 40
29.79, 100
36.83, 49
42.74, 22
47.85, 26
48.07, 28
61.87, 12
62.06, 24
74.23, 14

=====

[2]
Diffraction record for Na2LaNiH8. The powder diffraction line list is theoretical, not measured: it uses DFT lattice parameters and positions (GGA-PBE) and CuKα.
Peak positions follow from Bragg's law for the DFT cell and can differ from measured ones.

Crystal structure
```
data_Na2LaNiH8
_cell_length_a 4.680
_cell_length_b 4.680
_cell_length_c 6.441
_cell_angle_alpha 90.00
_cell_angle_beta 90.00
_cell_angle_gamma 120.00
_space_group_name_H-M_alt 'P 1'
_space_group_IT_number 1
loop_
_space_group_symop_operation_xyz
'x,y,z'
loop_
_atom_site_label
_atom_site_type_symbol
_atom_site_fract_x
_atom_site_fract_y
_atom_site_fract_z
Na1 Na 0.333 0.667 0.368
Na2 Na 0.667 0.333 0.632
La1 La 0.000 0.000 0.000
Ni1 Ni 0.000 0.000 0.500
H1 H 0.150 0.299 0.652
H2 H 0.150 0.850 0.652
H3 H 0.299 0.150 0.348
H4 H 0.333 0.667 0.027
H5 H 0.667 0.333 0.973
H6 H 0.701 0.850 0.652
H7 H 0.850 0.150 0.348
H8 H 0.850 0.701 0.348
```

Largest 10 diffraction maxima, by angle, 10 to 90 degrees two-theta:
Position (°2θ), I_rel
21.93, 100
25.98, 33
27.70, 23
35.61, 76
38.47, 46
44.72, 14
48.06, 30
53.42, 24
62.02, 17
67.74, 22

=====

[3]
Diffraction record for NaLaH2S2O9. The powder diffraction line list is theoretical, not measured: it uses DFT lattice parameters and positions (GGA-PBE) and CuKα.
Peak positions follow from Bragg's law for the DFT cell and can differ from measured ones.

Crystal structure
```
data_NaLaH2S2O9
_cell_length_a 7.094
_cell_length_b 7.094
_cell_length_c 13.097
_cell_angle_alpha 90.00
_cell_angle_beta 90.00
_cell_angle_gamma 120.00
_space_group_name_H-M_alt 'P 1'
_space_group_IT_number 1
loop_
_space_group_symop_operation_xyz
'x,y,z'
loop_
_atom_site_label
_atom_site_type_symbol
_atom_site_fract_x
_atom_site_fract_y
_atom_site_fract_z
Na1 Na 0.006 0.473 0.000
Na2 Na 0.467 0.994 0.667
Na3 Na 0.527 0.533 0.333
La1 La 0.433 0.012 0.165
La2 La 0.580 0.567 0.832
La3 La 0.988 0.420 0.498
H1 H 0.009 0.092 0.162
H2 H 0.083 0.991 0.828
H3 H 0.102 0.077 0.424
H4 H 0.908 0.917 0.495
H5 H 0.923 0.026 0.757
H6 H 0.974 0.898 0.091
S1 S 0.018 0.446 0.744
S2 S 0.428 0.982 0.411
S3 S 0.454 0.010 0.920
S4 S 0.554 0.572 0.078
S5 S 0.556 0.546 0.587
S6 S 0.990 0.444 0.254
O1 O 0.081 0.016 0.134
O2 O 0.110 0.631 0.184
O3 O 0.117 0.630 0.670
O4 O 0.142 0.410 0.320
O5 O 0.186 0.425 0.802
O6 O 0.239 0.814 0.469
O7 O 0.268 0.858 0.986
O8 O 0.358 0.114 0.348
O9 O 0.369 0.479 0.517
O10 O 0.370 0.487 0.004
O11 O 0.390 0.144 0.856
O12 O 0.513 0.883 0.337
O13 O 0.518 0.366 0.659
O14 O 0.521 0.890 0.850
O15 O 0.524 0.403 0.153
O16 O 0.575 0.761 0.136
O17 O 0.590 0.732 0.653
O18 O 0.597 0.121 0.487
O19 O 0.634 0.152 0.992
O20 O 0.754 0.610 0.523
O21 O 0.756 0.642 0.015
O22 O 0.848 0.482 0.325
O23 O 0.856 0.246 0.190
O24 O 0.879 0.476 0.820
O25 O 0.886 0.244 0.682
O26 O 0.934 0.919 0.801
O27 O 0.984 0.066 0.467
```

Largest 10 diffraction maxima, by angle, 10 to 90 degrees two-theta:
Position (°2θ), I_rel
14.42, 49
15.93, 100
20.34, 19
25.10, 55
29.07, 64
30.95, 78
37.35, 21
41.25, 29
48.03, 49
52.71, 24

=====

[4]
Diffraction record for NaLaH6Pd2. The powder diffraction line list is theoretical, not measured: it uses DFT lattice parameters and positions (GGA-PBE) and CuKα.
Peak positions follow from Bragg's law for the DFT cell and can differ from measured ones.

Crystal structure
```
data_NaLaH6Pd2
_cell_length_a 6.747
_cell_length_b 6.747
_cell_length_c 5.383
_cell_angle_alpha 91.91
_cell_angle_beta 91.91
_cell_angle_gamma 114.88
_space_group_name_H-M_alt 'P 1'
_space_group_IT_number 1
loop_
_space_group_symop_operation_xyz
'x,y,z'
loop_
_atom_site_label
_atom_site_type_symbol
_atom_site_fract_x
_atom_site_fract_y
_atom_site_fract_z
Na1 Na 0.143 0.857 0.750
Na2 Na 0.857 0.143 0.250
La1 La 0.340 0.660 0.250
La2 La 0.660 0.340 0.750
H1 H 0.073 0.515 0.780
H2 H 0.094 0.890 0.108
H3 H 0.110 0.906 0.392
H4 H 0.331 0.344 0.500
H5 H 0.344 0.331 0.000
H6 H 0.485 0.927 0.720
H7 H 0.515 0.073 0.280
H8 H 0.656 0.669 0.000
H9 H 0.669 0.656 0.500
H10 H 0.890 0.094 0.608
H11 H 0.906 0.110 0.892
H12 H 0.927 0.485 0.220
Pd1 Pd 0.137 0.291 0.750
Pd2 Pd 0.291 0.137 0.250
Pd3 Pd 0.709 0.863 0.750
Pd4 Pd 0.863 0.709 0.250
```

Largest 10 diffraction maxima, by angle, 10 to 90 degrees two-theta:
Position (°2θ), I_rel
21.44, 45
22.60, 39
26.53, 25
29.22, 43
32.95, 100
33.36, 73
34.51, 89
35.73, 86
38.08, 22
54.64, 28

=====

[5]
Diffraction record for NaLaH6Ru. The powder diffraction line list is theoretical, not measured: it uses DFT lattice parameters and positions (GGA-PBE) and CuKα.
Peak positions follow from Bragg's law for the DFT cell and can differ from measured ones.

Crystal structure
```
data_NaLaH6Ru
_cell_length_a 4.944
_cell_length_b 4.944
_cell_length_c 4.352
_cell_angle_alpha 90.06
_cell_angle_beta 90.06
_cell_angle_gamma 59.98
_space_group_name_H-M_alt 'P 1'
_space_group_IT_number 1
loop_
_space_group_symop_operation_xyz
'x,y,z'
loop_
_atom_site_label
_atom_site_type_symbol
_atom_site_fract_x
_atom_site_fract_y
_atom_site_fract_z
Na1 Na 0.000 0.000 0.000
La1 La 0.333 0.333 0.493
H1 H 0.006 0.497 0.999
H2 H 0.341 0.829 0.551
H3 H 0.497 0.006 0.999
H4 H 0.497 0.497 0.999
H5 H 0.829 0.341 0.551
H6 H 0.829 0.829 0.551
Ru1 Ru 0.667 0.667 0.778
```

Largest 10 diffraction maxima, by angle, 10 to 90 degrees two-theta:
Position (°2θ), I_rel
20.41, 21
20.75, 33
29.26, 100
36.35, 54
42.04, 19
46.83, 32
47.33, 28
60.69, 15
61.10, 24
72.84, 17

=====

[6]
Diffraction record for LaNb2H. The powder diffraction line list is theoretical, not measured: it uses DFT lattice parameters and positions (GGA-PBE) and CuKα.
Peak positions follow from Bragg's law for the DFT cell and can differ from measured ones.

Crystal structure
```
data_LaNb2H
_cell_length_a 6.022
_cell_length_b 6.022
_cell_length_c 8.541
_cell_angle_alpha 90.00
_cell_angle_beta 90.00
_cell_angle_gamma 90.00
_space_group_name_H-M_alt 'P 1'
_space_group_IT_number 1
loop_
_space_group_symop_operation_xyz
'x,y,z'
loop_
_atom_site_label
_atom_site_type_symbol
_atom_site_fract_x
_atom_site_fract_y
_atom_site_fract_z
La1 La 0.000 0.250 0.375
La2 La 0.000 0.750 0.625
La3 La 0.500 0.250 0.125
La4 La 0.500 0.750 0.875
Nb1 Nb 0.000 0.000 0.000
Nb2 Nb 0.000 0.500 0.000
Nb3 Nb 0.250 0.250 0.750
Nb4 Nb 0.250 0.750 0.250
Nb5 Nb 0.500 0.000 0.500
Nb6 Nb 0.500 0.500 0.500
Nb7 Nb 0.750 0.250 0.750
Nb8 Nb 0.750 0.750 0.250
H1 H 0.000 0.250 0.875
H2 H 0.000 0.750 0.125
H3 H 0.500 0.250 0.625
H4 H 0.500 0.750 0.375
```

Largest 10 diffraction maxima, by angle, 10 to 90 degrees two-theta:
Position (°2θ), I_rel
29.64, 40
34.91, 100
36.51, 29
52.60, 16
55.95, 8
56.09, 25
61.54, 28
72.74, 11
73.78, 7
88.02, 12

=====

[7]
Diffraction record for LaNi4H7. The powder diffraction line list is theoretical, not measured: it uses DFT lattice parameters and positions (GGA-PBE) and CuKα.
Peak positions follow from Bragg's law for the DFT cell and can differ from measured ones.

Crystal structure
```
data_LaNi4H7
_cell_length_a 3.729
_cell_length_b 11.776
_cell_length_c 4.507
_cell_angle_alpha 90.00
_cell_angle_beta 90.00
_cell_angle_gamma 90.00
_space_group_name_H-M_alt 'P 1'
_space_group_IT_number 1
loop_
_space_group_symop_operation_xyz
'x,y,z'
loop_
_atom_site_label
_atom_site_type_symbol
_atom_site_fract_x
_atom_site_fract_y
_atom_site_fract_z
La1 La 0.250 0.250 0.207
La2 La 0.750 0.750 0.793
Ni1 Ni 0.250 0.508 0.804
Ni2 Ni 0.250 0.632 0.299
Ni3 Ni 0.250 0.868 0.299
Ni4 Ni 0.250 0.992 0.804
Ni5 Ni 0.750 0.008 0.196
Ni6 Ni 0.750 0.132 0.701
Ni7 Ni 0.750 0.368 0.701
Ni8 Ni 0.750 0.492 0.196
H1 H 0.250 0.004 0.180
H2 H 0.250 0.129 0.711
H3 H 0.250 0.371 0.711
H4 H 0.250 0.496 0.180
H5 H 0.250 0.634 0.657
H6 H 0.250 0.750 0.126
H7 H 0.250 0.866 0.657
H8 H 0.750 0.134 0.343
H9 H 0.750 0.250 0.874
H10 H 0.750 0.366 0.343
H11 H 0.750 0.504 0.820
H12 H 0.750 0.629 0.289
H13 H 0.750 0.871 0.289
H14 H 0.750 0.996 0.820
```

Largest 10 diffraction maxima, by angle, 10 to 90 degrees two-theta:
Position (°2θ), I_rel
30.19, 37
31.13, 17
33.14, 44
34.74, 100
40.01, 26
43.35, 27
45.56, 15
48.85, 22
52.89, 16
56.81, 16

=====

[8]
Diffraction record for LaNi5H6. The powder diffraction line list is theoretical, not measured: it uses DFT lattice parameters and positions (GGA-PBE) and CuKα.
Peak positions follow from Bragg's law for the DFT cell and can differ from measured ones.

Crystal structure
```
data_LaNi5H6
_cell_length_a 5.425
_cell_length_b 5.425
_cell_length_c 4.094
_cell_angle_alpha 90.00
_cell_angle_beta 90.00
_cell_angle_gamma 120.00
_space_group_name_H-M_alt 'P 1'
_space_group_IT_number 1
loop_
_space_group_symop_operation_xyz
'x,y,z'
loop_
_atom_site_label
_atom_site_type_symbol
_atom_site_fract_x
_atom_site_fract_y
_atom_site_fract_z
La1 La 0.000 0.000 0.000
Ni1 Ni 0.000 0.500 0.627
Ni2 Ni 0.333 0.667 0.118
Ni3 Ni 0.500 0.000 0.627
Ni4 Ni 0.500 0.500 0.627
Ni5 Ni 0.667 0.333 0.118
H1 H 0.205 0.409 0.414
H2 H 0.205 0.795 0.414
H3 H 0.409 0.205 0.414
H4 H 0.591 0.795 0.414
H5 H 0.795 0.205 0.414
H6 H 0.795 0.591 0.414
```

Largest 10 diffraction maxima, by angle, 10 to 90 degrees two-theta:
Position (°2θ), I_rel
28.93, 45
33.03, 35
38.32, 41
39.87, 100
44.25, 16
44.47, 27
48.51, 20
63.62, 24
69.29, 20
81.58, 16

=====

[9]
Diffraction record for LaNi2H7. The powder diffraction line list is theoretical, not measured: it uses DFT lattice parameters and positions (GGA-PBE) and CuKα.
Peak positions follow from Bragg's law for the DFT cell and can differ from measured ones.

Crystal structure
```
data_LaNi2H7
_cell_length_a 4.988
_cell_length_b 4.988
_cell_length_c 3.716
_cell_angle_alpha 90.00
_cell_angle_beta 90.00
_cell_angle_gamma 122.94
_space_group_name_H-M_alt 'P 1'
_space_group_IT_number 1
loop_
_space_group_symop_operation_xyz
'x,y,z'
loop_
_atom_site_label
_atom_site_type_symbol
_atom_site_fract_x
_atom_site_fract_y
_atom_site_fract_z
La1 La 0.000 0.000 0.000
Ni1 Ni 0.313 0.687 0.500
Ni2 Ni 0.687 0.313 0.500
H1 H 0.027 0.321 0.500
H2 H 0.321 0.027 0.500
H3 H 0.325 0.675 0.000
H4 H 0.500 0.500 0.500
H5 H 0.675 0.325 0.000
H6 H 0.679 0.973 0.500
H7 H 0.973 0.679 0.500
```

Largest 10 diffraction maxima, by angle, 10 to 90 degrees two-theta:
Position (°2θ), I_rel
21.23, 29
31.57, 78
32.21, 100
36.07, 71
37.77, 34
49.03, 16
50.02, 42
61.66, 28
62.36, 27
63.50, 14

=====

[10]
Diffraction record for LaNi5H6. The powder diffraction line list is theoretical, not measured: it uses DFT lattice parameters and positions (GGA-PBE) and CuKα.
Peak positions follow from Bragg's law for the DFT cell and can differ from measured ones.

Crystal structure
```
data_LaNi5H6
_cell_length_a 5.368
_cell_length_b 5.368
_cell_length_c 4.212
_cell_angle_alpha 90.00
_cell_angle_beta 90.00
_cell_angle_gamma 120.00
_space_group_name_H-M_alt 'P 1'
_space_group_IT_number 1
loop_
_space_group_symop_operation_xyz
'x,y,z'
loop_
_atom_site_label
_atom_site_type_symbol
_atom_site_fract_x
_atom_site_fract_y
_atom_site_fract_z
La1 La 0.000 0.000 0.000
Ni1 Ni 0.333 0.667 0.157
Ni2 Ni 0.511 0.022 0.611
Ni3 Ni 0.511 0.489 0.611
Ni4 Ni 0.667 0.333 0.126
Ni5 Ni 0.978 0.489 0.611
H1 H 0.006 0.503 0.998
H2 H 0.187 0.375 0.457
H3 H 0.187 0.813 0.457
H4 H 0.497 0.503 0.998
H5 H 0.497 0.994 0.998
H6 H 0.625 0.813 0.457
```

Largest 10 diffraction maxima, by angle, 10 to 90 degrees two-theta:
Position (°2θ), I_rel
28.60, 57
33.38, 37
38.74, 42
39.82, 100
42.95, 18
44.52, 26
47.39, 24
56.77, 17
64.02, 25
70.12, 20

=====

[11]
Diffraction record for LaNiH6. The powder diffraction line list is theoretical, not measured: it uses DFT lattice parameters and positions (GGA-PBE) and CuKα.
Peak positions follow from Bragg's law for the DFT cell and can differ from measured ones.

Crystal structure
```
data_LaNiH6
_cell_length_a 4.593
_cell_length_b 4.593
_cell_length_c 4.593
_cell_angle_alpha 59.20
_cell_angle_beta 59.20
_cell_angle_gamma 59.20
_space_group_name_H-M_alt 'P 1'
_space_group_IT_number 1
loop_
_space_group_symop_operation_xyz
'x,y,z'
loop_
_atom_site_label
_atom_site_type_symbol
_atom_site_fract_x
_atom_site_fract_y
_atom_site_fract_z
La1 La 0.000 0.000 0.000
Ni1 Ni 0.500 0.500 0.500
H1 H 0.093 0.594 0.594
H2 H 0.406 0.406 0.907
H3 H 0.406 0.907 0.406
H4 H 0.594 0.093 0.594
H5 H 0.594 0.594 0.093
H6 H 0.907 0.406 0.406
```

Largest 10 diffraction maxima, by angle, 10 to 90 degrees two-theta:
Position (°2θ), I_rel
23.97, 16
27.64, 100
39.23, 40
39.73, 37
48.24, 7
49.08, 21
57.07, 12
64.21, 18
64.91, 17
71.78, 13

=====

[12]
Diffraction record for LaNiH6Pd. The powder diffraction line list is theoretical, not measured: it uses DFT lattice parameters and positions (GGA-PBE) and CuKα.
Peak positions follow from Bragg's law for the DFT cell and can differ from measured ones.

Crystal structure
```
data_LaNiH6Pd
_cell_length_a 4.670
_cell_length_b 4.670
_cell_length_c 4.358
_cell_angle_alpha 90.00
_cell_angle_beta 90.00
_cell_angle_gamma 120.00
_space_group_name_H-M_alt 'P 1'
_space_group_IT_number 1
loop_
_space_group_symop_operation_xyz
'x,y,z'
loop_
_atom_site_label
_atom_site_type_symbol
_atom_site_fract_x
_atom_site_fract_y
_atom_site_fract_z
La1 La 0.000 0.000 0.000
Ni1 Ni 0.667 0.333 0.500
H1 H 0.513 0.027 0.253
H2 H 0.513 0.027 0.747
H3 H 0.513 0.487 0.253
H4 H 0.513 0.487 0.747
H5 H 0.973 0.487 0.253
H6 H 0.973 0.487 0.747
Pd1 Pd 0.333 0.667 0.500
```

Largest 10 diffraction maxima, by angle, 10 to 90 degrees two-theta:
Position (°2θ), I_rel
21.98, 7
30.15, 100
38.56, 47
41.44, 12
49.70, 24
57.88, 29
64.61, 22
68.65, 9
69.76, 8
84.51, 10